[1]
# MgSn4Ru
Simulated X-ray powder pattern, CuKα. Input: DFT lattice parameters and positions (GGA-PBE).

Largest 6 diffraction maxima, low angle first, 2θ from 5° to 70°:
2θ 15.6, I 29; 2θ 30.3, I 96; 2θ 36.7, I 38; 2θ 37.8, I 100; 2θ 41.3, I 32; 2θ 41.8, I 55

Unit cell a=7.460 b=7.460 c=7.460 alpha=125.53 beta=125.53 gamma=80.66
Element x y z (fractional)
1 Mg 0.000 0.000 0.000
2 Mg 0.500 0.500 0.000
3 Sn 0.015 0.515 0.810
4 Sn 0.205 0.015 0.500
5 Sn 0.295 0.795 0.810
6 Sn 0.485 0.295 0.500
7 Sn 0.515 0.705 0.500
8 Sn 0.705 0.205 0.190
9 Sn 0.795 0.985 0.500
10 Sn 0.985 0.485 0.190
11 Ru 0.250 0.250 0.000
12 Ru 0.750 0.750 0.000

***

[2]
# Tb2Cd5Au
Simulated X-ray powder pattern, CuKα. Input: DFT lattice parameters and positions (GGA-PBE).

Largest 6 diffraction maxima, low angle first, 2θ from 5° to 70°:
2θ 21.9, I 25; 2θ 22.4, I 17; 2θ 29.2, I 45; 2θ 35.4, I 45; 2θ 37.7, I 48; 2θ 38.0, I 100

Unit cell a=11.096 b=11.096 c=11.096 alpha=24.62 beta=24.62 gamma=24.62
Element x y z (fractional)
1 Tb 0.091 0.091 0.091
2 Tb 0.909 0.909 0.909
3 Cd 0.197 0.197 0.197
4 Cd 0.364 0.364 0.364
5 Cd 0.500 0.500 0.500
6 Cd 0.636 0.636 0.636
7 Cd 0.803 0.803 0.803
8 Au 0.000 0.000 0.000

***

[3]
# ScTaIrO6
Simulated X-ray powder pattern, CuKα. Input: DFT lattice parameters and positions (GGA-PBE).

Largest 6 diffraction maxima, low angle first, 2θ from 5° to 70°:
2θ 20.9, I 37; 2θ 26.4, I 100; 2θ 34.3, I 82; 2θ 37.7, I 25; 2θ 51.8, I 66; 2θ 65.8, I 34

Unit cell a=4.773 b=4.773 c=9.389 alpha=90.00 beta=90.00 gamma=90.00
Element x y z (fractional)
1 Sc 0.000 0.000 0.000
2 Sc 0.500 0.500 0.500
3 Ta 0.000 0.000 0.664
4 Ta 0.500 0.500 0.164
5 Ir 0.000 0.000 0.327
6 Ir 0.500 0.500 0.827
7 O 0.188 0.188 0.496
8 O 0.203 0.203 0.167
9 O 0.203 0.203 0.817
10 O 0.297 0.703 0.317
11 O 0.297 0.703 0.667
12 O 0.312 0.688 0.996
13 O 0.688 0.312 0.996
14 O 0.703 0.297 0.317
15 O 0.703 0.297 0.667
16 O 0.797 0.797 0.167
17 O 0.797 0.797 0.817
18 O 0.812 0.812 0.496

***

[4]
# HoIrO
Simulated X-ray powder pattern, CuKα. Input: DFT lattice parameters and positions (GGA-PBE).

Largest 6 diffraction maxima, low angle first, 2θ from 5° to 70°:
2θ 31.1, I 86; 2θ 31.2, I 100; 2θ 38.1, I 51; 2θ 38.3, I 69; 2θ 44.1, I 39; 2θ 55.0, I 42

Unit cell a=11.533 b=4.103 c=4.317 alpha=90.00 beta=90.00 gamma=90.00
Element x y z (fractional)
1 Ho 0.146 0.250 0.035
2 Ho 0.354 0.750 0.535
3 Ho 0.646 0.250 0.465
4 Ho 0.854 0.750 0.965
5 Ir 0.048 0.750 0.574
6 Ir 0.452 0.250 0.074
7 Ir 0.548 0.750 0.926
8 Ir 0.952 0.250 0.426
9 O 0.202 0.750 0.854
10 O 0.298 0.250 0.354
11 O 0.702 0.750 0.646
12 O 0.798 0.250 0.146